No. 1
For Zn6ReO6, a crystal structure in Alexandria, relaxed with GGA-PBE gives the calculated powder XRD pattern in this record (Cu Kα (weighted mean of Kα1 and Kα2)).
Intensities are scaled so that the largest is 100.

Principal peaks in the range 2θ from 10° to 80°, in order of rising 2θ:
2θ/deg	I_rel
15.4	62
26.9	21
31.2	44
35.0	83
38.4	100
47.6	18
58.0	19
60.4	51
65.0	19
76.0	18

Structure:
```
data_Zn6ReO6
_cell_length_a 5.737
_cell_length_b 5.737
_cell_length_c 5.737
_cell_angle_alpha 90.00
_cell_angle_beta 90.00
_cell_angle_gamma 90.00
_space_group_name_H-M_alt 'P m -3'
_space_group_IT_number 200
_space_group_name_Hall '-P 2 2 3'
loop_
_atom_site_label
_atom_site_type_symbol
_atom_site_fract_x
_atom_site_fract_y
_atom_site_fract_z
Zn1 Zn 0.000 0.248 0.500
Re1 Re 0.000 0.000 0.000
O1 O 0.000 0.500 0.254
```

---

No. 2
For Pm6Ga5Ag, a crystal structure in Alexandria, relaxed with GGA-PBE gives the calculated powder XRD pattern in this record (Cu Kα (weighted mean of Kα1 and Kα2)).
Intensities are scaled so that the largest is 100.

Principal peaks in the range 2θ from 10° to 80°, in order of rising 2θ:
2θ/deg	I_rel
24.1	11
34.4	100
42.5	3
49.4	18
55.7	5
61.6	36
72.5	11
77.7	2

Structure:
```
data_Pm6Ga5Ag
_cell_length_a 5.214
_cell_length_b 15.652
_cell_length_c 7.373
_cell_angle_alpha 90.00
_cell_angle_beta 90.00
_cell_angle_gamma 90.00
_space_group_name_H-M_alt 'C m m m'
_space_group_IT_number 65
_space_group_name_Hall '-C 2 2'
loop_
_atom_site_label
_atom_site_type_symbol
_atom_site_fract_x
_atom_site_fract_y
_atom_site_fract_z
Pm1 Pm 0.000 0.000 0.248
Pm2 Pm 0.000 0.332 0.249
Ga1 Ga 0.000 0.162 0.500
Ga2 Ga 0.000 0.166 0.000
Ga3 Ga 0.000 0.500 0.000
Ag1 Ag 0.000 0.500 0.500
```

---

No. 3
For Ba7Na2Zn2, a crystal structure in Alexandria, relaxed with GGA-PBE gives the calculated powder XRD pattern in this record (Cu Kα (weighted mean of Kα1 and Kα2)).
Intensities are scaled so that the largest is 100.

Principal peaks in the range 2θ from 10° to 80°, in order of rising 2θ:
2θ/deg	I_rel
10.3	34
20.6	40
22.1	100
23.5	41
26.2	60
30.0	41
30.4	96
36.1	29
45.2	32
50.2	32

Structure:
```
data_Ba7Na2Zn2
_cell_length_a 9.958
_cell_length_b 13.588
_cell_length_c 8.608
_cell_angle_alpha 90.00
_cell_angle_beta 90.00
_cell_angle_gamma 90.00
_space_group_name_H-M_alt 'C m m m'
_space_group_IT_number 65
_space_group_name_Hall '-C 2 2'
loop_
_atom_site_label
_atom_site_type_symbol
_atom_site_fract_x
_atom_site_fract_y
_atom_site_fract_z
Ba1 Ba 0.000 0.000 0.000
Ba2 Ba 0.000 0.500 0.231
Ba3 Ba 0.250 0.250 0.246
Na1 Na 0.164 0.000 0.500
Zn1 Zn 0.000 0.291 0.000
```

---

No. 4
For Be2BN, a crystal structure in Alexandria, relaxed with GGA-PBE gives the calculated powder XRD pattern in this record (Cu Kα (weighted mean of Kα1 and Kα2)).
Intensities are scaled so that the largest is 100.

Principal peaks in the range 2θ from 10° to 80°, in order of rising 2θ:
2θ/deg	I_rel
11.1	6
33.7	66
37.7	100
42.6	26
50.1	16
59.3	30
64.5	54
69.9	19
74.8	20
77.1	7

Structure:
```
data_Be2BN
_cell_length_a 2.8910
_cell_length_b 2.8910
_cell_length_c 7.9729
_cell_angle_alpha 90.00
_cell_angle_beta 90.00
_cell_angle_gamma 120.00
_space_group_name_H-M_alt 'P 3 m 1'
_space_group_IT_number 156
_space_group_name_Hall 'P 3 -2"'
loop_
_atom_site_label
_atom_site_type_symbol
_atom_site_fract_x
_atom_site_fract_y
_atom_site_fract_z
Be1 Be 0.0000 0.0000 0.0000
Be2 Be 0.0000 0.0000 0.4181
Be3 Be 0.3333 0.6667 0.2252
Be4 Be 0.3333 0.6667 0.8007
B1 B 0.0000 0.0000 0.6761
B2 B 0.6667 0.3333 0.6644
N1 N 0.3333 0.6667 0.0122
N2 N 0.6667 0.3333 0.3241
```

---

No. 5
For HoFe10B2, a crystal structure in Alexandria, relaxed with GGA-PBE gives the calculated powder XRD pattern in this record (Cu Kα (weighted mean of Kα1 and Kα2)).
Intensities are scaled so that the largest is 100.

Principal peaks in the range 2θ from 10° to 80°, in order of rising 2θ:
2θ/deg	I_rel
31.5	26
37.3	27
39.3	31
39.6	51
41.6	48
44.5	35
45.4	26
45.6	100
45.8	40
46.1	50

Structure:
```
data_HoFe10B2
_cell_length_a 8.152
_cell_length_b 9.179
_cell_length_c 7.871
_cell_angle_alpha 90.00
_cell_angle_beta 90.00
_cell_angle_gamma 90.00
_space_group_name_H-M_alt 'C m c m'
_space_group_IT_number 63
_space_group_name_Hall '-C 2c 2'
loop_
_atom_site_label
_atom_site_type_symbol
_atom_site_fract_x
_atom_site_fract_y
_atom_site_fract_z
Ho1 Ho 0.000 0.115 0.250
Fe1 Fe 0.000 0.166 0.594
Fe2 Fe 0.000 0.387 0.074
Fe3 Fe 0.143 0.385 0.750
Fe4 Fe 0.233 0.000 0.000
Fe5 Fe 0.242 0.354 0.250
B1 B 0.250 0.250 0.000
```

---

No. 6
For Nd3Sm2Sb2, a crystal structure in Alexandria, relaxed with GGA-PBE gives the calculated powder XRD pattern in this record (Cu Kα (weighted mean of Kα1 and Kα2)).
Intensities are scaled so that the largest is 100.

Principal peaks in the range 2θ from 10° to 80°, in order of rising 2θ:
2θ/deg	I_rel
22.7	24
26.5	23
27.7	71
31.1	31
31.5	51
33.4	98
34.1	100
40.7	19
44.8	32
55.8	21

Structure:
```
data_Nd3Sm2Sb2
_cell_length_a 17.039
_cell_length_b 4.044
_cell_length_c 7.421
_cell_angle_alpha 90.00
_cell_angle_beta 114.80
_cell_angle_gamma 90.00
_space_group_name_H-M_alt 'C 1 2/m 1'
_space_group_IT_number 12
_space_group_name_Hall '-C 2y'
loop_
_atom_site_label
_atom_site_type_symbol
_atom_site_fract_x
_atom_site_fract_y
_atom_site_fract_z
Nd1 Nd 0.000 0.000 0.000
Nd2 Nd 0.217 0.000 0.251
Sm1 Sm 0.099 0.000 0.696
Sb1 Sb 0.092 0.500 0.366
```

---

No. 7
For Cs2RbSiTe4, a crystal structure in Alexandria, relaxed with GGA-PBE gives the calculated powder XRD pattern in this record (Cu Kα (weighted mean of Kα1 and Kα2)).
Intensities are scaled so that the largest is 100.

Principal peaks in the range 2θ from 10° to 80°, in order of rising 2θ:
2θ/deg	I_rel
20.6	64
22.8	94
25.3	25
26.3	40
26.7	100
27.6	44
30.8	59
32.9	29
34.9	48
40.2	25

Structure:
```
data_Cs2RbSiTe4
_cell_length_a 7.859
_cell_length_b 15.769
_cell_length_c 25.900
_cell_angle_alpha 90.00
_cell_angle_beta 90.00
_cell_angle_gamma 90.00
_space_group_name_H-M_alt 'F d d d'
_space_group_IT_number 70
loop_
_space_group_symop_operation_xyz
'x,y,z'
'-x,-y,-z'
'-x+1/4,-y+1/4,z'
'x+1/4,y+1/4,-z'
'x,-y+1/4,-z+1/4'
'-x,y+1/4,z+1/4'
'-x+1/4,y,-z+1/4'
'x+1/4,-y,z+1/4'
'x,y+1/2,z+1/2'
'-x,-y+1/2,-z+1/2'
'-x+1/4,-y+3/4,z+1/2'
'x+1/4,y+3/4,-z+1/2'
'x,-y+3/4,-z+3/4'
'-x,y+3/4,z+3/4'
'-x+1/4,y+1/2,-z+3/4'
'x+1/4,-y+1/2,z+3/4'
'x+1/2,y,z+1/2'
'-x+1/2,-y,-z+1/2'
'-x+3/4,-y+1/4,z+1/2'
'x+3/4,y+1/4,-z+1/2'
'x+1/2,-y+1/4,-z+3/4'
'-x+1/2,y+1/4,z+3/4'
'-x+3/4,y,-z+3/4'
'x+3/4,-y,z+3/4'
'x+1/2,y+1/2,z'
'-x+1/2,-y+1/2,-z'
'-x+3/4,-y+3/4,z'
'x+3/4,y+3/4,-z'
'x+1/2,-y+3/4,-z+1/4'
'-x+1/2,y+3/4,z+1/4'
'-x+3/4,y+1/2,-z+1/4'
'x+3/4,-y+1/2,z+1/4'
loop_
_atom_site_label
_atom_site_type_symbol
_atom_site_fract_x
_atom_site_fract_y
_atom_site_fract_z
Cs1 Cs 0.125 0.125 0.312
Rb1 Rb 0.125 0.125 0.125
Si1 Si 0.125 0.125 0.625
Te1 Te 0.039 0.275 0.814
```

---

No. 8
For Rb2FeMoI6, a crystal structure in Alexandria, relaxed with GGA-PBE gives the calculated powder XRD pattern in this record (Cu Kα (weighted mean of Kα1 and Kα2)).
Intensities are scaled so that the largest is 100.

Principal peaks in the range 2θ from 10° to 80°, in order of rising 2θ:
2θ/deg	I_rel
15.5	27
26.9	98
31.2	100
35.0	14
44.7	73
53.0	44
55.6	25
65.1	12
71.8	18
74.0	32

Structure:
```
data_Rb2FeMoI6
_cell_length_a 11.461
_cell_length_b 11.461
_cell_length_c 11.461
_cell_angle_alpha 90.00
_cell_angle_beta 90.00
_cell_angle_gamma 90.00
_space_group_name_H-M_alt 'F m -3 m'
_space_group_IT_number 225
_space_group_name_Hall '-F 4 2 3'
loop_
_atom_site_label
_atom_site_type_symbol
_atom_site_fract_x
_atom_site_fract_y
_atom_site_fract_z
Rb1 Rb 0.250 0.250 0.250
Fe1 Fe 0.000 0.000 0.000
Mo1 Mo 0.000 0.000 0.500
I1 I 0.000 0.000 0.250
```

---

No. 9
For BaTa2HgO7, a crystal structure in Alexandria, relaxed with GGA-PBE gives the calculated powder XRD pattern in this record (Cu Kα (weighted mean of Kα1 and Kα2)).
Intensities are scaled so that the largest is 100.

Principal peaks in the range 2θ from 10° to 80°, in order of rising 2θ:
2θ/deg	I_rel
22.6	66
25.7	100
31.0	94
32.8	54
36.1	26
45.3	46
52.8	33
54.6	37
55.9	37
66.0	23

Structure:
```
data_BaTa2HgO7
_cell_length_a 4.004
_cell_length_b 4.004
_cell_length_c 20.865
_cell_angle_alpha 90.00
_cell_angle_beta 90.00
_cell_angle_gamma 90.00
_space_group_name_H-M_alt 'I -4 m 2'
_space_group_IT_number 119
_space_group_name_Hall 'I -4 -2'
loop_
_atom_site_label
_atom_site_type_symbol
_atom_site_fract_x
_atom_site_fract_y
_atom_site_fract_z
Ba1 Ba 0.000 0.000 0.000
Ta1 Ta 0.000 0.000 0.396
Hg1 Hg 0.000 0.500 0.250
O1 O 0.000 0.000 0.304
O2 O 0.000 0.000 0.500
O3 O 0.000 0.500 0.098
O4 O 0.000 0.500 0.595
```

---

No. 10
For CaOsSe2, a crystal structure in Alexandria, relaxed with GGA-PBE gives the calculated powder XRD pattern in this record (Cu Kα (weighted mean of Kα1 and Kα2)).
Intensities are scaled so that the largest is 100.

Principal peaks in the range 2θ from 10° to 80°, in order of rising 2θ:
2θ/deg	I_rel
15.4	60
26.1	20
33.0	100
45.0	68
47.9	21
49.7	23
57.0	21
65.2	9
69.3	9
75.4	18

Structure:
```
data_CaOsSe2
_cell_length_a 4.0261
_cell_length_b 4.0261
_cell_length_c 17.2677
_cell_angle_alpha 90.00
_cell_angle_beta 90.00
_cell_angle_gamma 120.00
_space_group_name_H-M_alt 'R -3 m'
_space_group_IT_number 166
_space_group_name_Hall '-R 3 2"'
loop_
_atom_site_label
_atom_site_type_symbol
_atom_site_fract_x
_atom_site_fract_y
_atom_site_fract_z
Ca1 Ca 0.0000 0.0000 0.0000
Os1 Os 0.0000 0.0000 0.5000
Se1 Se 0.0000 0.0000 0.2306
```

---

No. 11
For LaTbThCo, a crystal structure in Alexandria, relaxed with GGA-PBE gives the calculated powder XRD pattern in this record (Cu Kα (weighted mean of Kα1 and Kα2)).
Intensities are scaled so that the largest is 100.

Principal peaks in the range 2θ from 10° to 80°, in order of rising 2θ:
2θ/deg	I_rel
27.4	62
28.2	35
29.0	47
33.4	100
39.7	49
47.4	17
48.4	41
56.1	19
57.0	31
60.1	18

Structure:
```
data_LaTbThCo
_cell_length_a 3.7614
_cell_length_b 3.7614
_cell_length_c 9.4931
_cell_angle_alpha 90.00
_cell_angle_beta 90.00
_cell_angle_gamma 120.00
_space_group_name_H-M_alt 'P 3 m 1'
_space_group_IT_number 156
_space_group_name_Hall 'P 3 -2"'
loop_
_atom_site_label
_atom_site_type_symbol
_atom_site_fract_x
_atom_site_fract_y
_atom_site_fract_z
La1 La 0.0000 0.0000 0.0000
Tb1 Tb 0.3333 0.6667 0.6826
Th1 Th 0.3333 0.6667 0.3247
Co1 Co 0.0000 0.0000 0.4924
```

---

No. 12
For Zr7As, a crystal structure in Alexandria, relaxed with GGA-PBE gives the calculated powder XRD pattern in this record (Cu Kα (weighted mean of Kα1 and Kα2)).
Intensities are scaled so that the largest is 100.

Principal peaks in the range 2θ from 10° to 80°, in order of rising 2θ:
2θ/deg	I_rel
35.1	100
40.7	49
58.9	32
70.5	37
74.1	11

Structure:
```
data_Zr7As
_cell_length_a 8.864
_cell_length_b 8.864
_cell_length_c 8.864
_cell_angle_alpha 90.00
_cell_angle_beta 90.00
_cell_angle_gamma 90.00
_space_group_name_H-M_alt 'F m -3 m'
_space_group_IT_number 225
_space_group_name_Hall '-F 4 2 3'
loop_
_atom_site_label
_atom_site_type_symbol
_atom_site_fract_x
_atom_site_fract_y
_atom_site_fract_z
Zr1 Zr 0.000 0.000 0.000
Zr2 Zr 0.000 0.250 0.250
As1 As 0.000 0.000 0.500
```